Computed PXRD pattern
Compound: MgZn2Fe4O8
Radiation: Cu Ka
Structure: a crystal structure in the Materials Project, relaxed with GGA+U
Neutral-atom scattering factors, no anomalous dispersion.

Principal peaks in the range 2θ from 15° to 90°, low angle first:
2theta  I (rel.)  index
30.35  45  3 1 -1
33.18  77  3 1 -2
33.83  64  0 0 2
34.05  69  0 2 1
34.59  60  2 2 -1
36.46  72  3 1 0
40.22  100  2 2 -2
44.80  42  4 0 0
51.74  42  2 2 -3
60.38  41  2 2 2
61.09  36  0 4 0
63.14  62  6 2 -2

Cell and atoms:
Lattice parameters (Å, degrees): 10.1818 6.0678 6.6680 90.00 127.37 90.00
Space group C2/m (No. 12)
Asymmetric unit:
Mg: 0.0000 0.0000 0.0000 [2 per cell]
Zn: 0.0000 0.5000 0.0000 [2 per cell]
Zn: 0.0000 0.5000 0.5000 [2 per cell]
Fe: 0.1611 0.0000 0.4669 [4 per cell]
Fe: 0.2500 0.2500 0.0000 [4 per cell]
O: 0.0037 0.2460 0.7736 [8 per cell]
O: 0.2479 0.5000 0.1809 [4 per cell]
O: 0.2476 0.5000 0.7502 [4 per cell]